No. 1
This entry pairs a crystal structure of HgBiPd3Au with its calculated powder diffraction line list. Radiation: Cu Kα, 1.54184 Å. Structure: a structure optimized by DFT (PBE).
No peak broadening, texture or thermal motion is included.

Cell: 17.5170 4.7982 5.7144 Å, 90.00 105.21 90.00°
Space group C2/m (No. 12)
Asymmetric unit:
Hg (0.1188, 0.0000, 0.2405) x4
Bi (0.2067, 0.0000, 0.7995) x4
Pd (0.0442, 0.0000, 0.7368) x4
Pd (0.1265, 0.5000, 0.9331) x4
Pd (0.2019, 0.5000, 0.5296) x4
Au (0.0381, 0.5000, 0.3128) x4

Principal peaks in the range 10 to 90 degrees two-theta, by intensity:
(hkl)  2θ (°)  d/Å  Rel. int.
3 1 -2  37.37  2.406  1000
5 1 1  39.49  2.282  953
7 1 -1  41.21  2.190  913
0 2 0  37.49  2.399  880
4 0 1  29.82  2.996  368
0 0 2  32.47  2.757  297
6 0 -1  31.64  2.828  213
2 2 3  67.36  1.390  211

---

No. 2
This entry pairs a crystal structure of Pm2ThRh2 with its calculated powder diffraction line list. Radiation: Cu Kα, 1.54184 Å. Structure: a structure optimized by DFT (PBE).
No peak broadening, texture or thermal motion is included.

Cell: 11.4781 6.2211 7.4488 Å, 90.00 101.63 90.00°
Space group C2/c (No. 15)
Asymmetric unit:
Pm (0.1569, 0.1089, 0.1524) x8
Th (0.0000, 0.4085, 0.7500) x4
Rh (0.1485, 0.3554, 0.5115) x8

Principal peaks in the range 10 to 90 degrees two-theta, by intensity:
(hkl)  2θ (°)  d/Å  Rel. int.
0 2 1  31.26  2.861  1000
2 0 2  31.82  2.812  708
3 1 -2  33.86  2.647  684
2 2 1  36.34  2.472  677
3 1 0  27.79  3.210  541
4 0 -2  36.20  2.481  486
1 1 -3  39.06  2.306  443
1 1 0  16.28  5.443  442

---

No. 3
This entry pairs a crystal structure of Pr6Si2AsCl3 with its calculated powder diffraction line list. Radiation: Cu Kα, 1.54184 Å. Structure: a structure optimized by DFT (PBE).
No peak broadening, texture or thermal motion is included.

Cell: 18.6807 4.2730 8.5668 Å, 90.00 103.52 90.00°
Space group C2/m (No. 12)
Asymmetric unit:
Pr (0.0089, 0.0000, 0.2412) x4
Pr (0.1643, 0.5000, 0.1033) x4
Pr (0.1722, 0.5000, 0.5708) x4
Si (0.1670, 0.0000, 0.3342) x4
As (0.0000, 0.5000, 0.0000) x2
Cl (0.0000, 0.5000, 0.5000) x2
Cl (0.1660, 0.0000, 0.8342) x4

Principal peaks in the range 10 to 90 degrees two-theta, by intensity:
(hkl)  2θ (°)  d/Å  Rel. int.
1 1 -2  29.52  3.026  1000
3 1 0  25.48  3.495  426
0 2 0  42.30  2.136  379
7 1 -2  42.17  2.143  334
2 2 2  50.02  1.823  204
6 2 0  52.43  1.745  193
1 3 -2  69.55  1.352  161
2 0 2  25.53  3.489  146

---

Copy entry 1 word for word.
This entry pairs a crystal structure of HgBiPd3Au with its calculated powder diffraction line list. Radiation: Cu Kα, 1.54184 Å. Structure: a structure optimized by DFT (PBE).
No peak broadening, texture or thermal motion is included.

Cell: 17.5170 4.7982 5.7144 Å, 90.00 105.21 90.00°
Space group C2/m (No. 12)
Asymmetric unit:
Hg (0.1188, 0.0000, 0.2405) x4
Bi (0.2067, 0.0000, 0.7995) x4
Pd (0.0442, 0.0000, 0.7368) x4
Pd (0.1265, 0.5000, 0.9331) x4
Pd (0.2019, 0.5000, 0.5296) x4
Au (0.0381, 0.5000, 0.3128) x4

Principal peaks in the range 10 to 90 degrees two-theta, by intensity:
(hkl)  2θ (°)  d/Å  Rel. int.
3 1 -2  37.37  2.406  1000
5 1 1  39.49  2.282  953
7 1 -1  41.21  2.190  913
0 2 0  37.49  2.399  880
4 0 1  29.82  2.996  368
0 0 2  32.47  2.757  297
6 0 -1  31.64  2.828  213
2 2 3  67.36  1.390  211